(1)
Calculated powder diffractogram
Compound: MnAlBr4
Radiation: CuKα
Structure: a PBE-relaxed structure

Crystal structure
```
data_MnAlBr4
_chemical_formula_sum 'Mn2 Al2 Br8'
_cell_length_a 6.3342
_cell_length_b 6.3342
_cell_length_c 11.2276
_cell_angle_alpha 90.00
_cell_angle_beta 90.00
_cell_angle_gamma 90.00
_symmetry_space_group_name_H-M 'I -4'
_symmetry_Int_Tables_number 82
loop_
_symmetry_equiv_pos_as_xyz
'x,y,z'
'y,-x,-z'
'-x,-y,z'
'-y,x,-z'
'x+1/2,y+1/2,z+1/2'
'y+1/2,-x+1/2,-z+1/2'
'-x+1/2,-y+1/2,z+1/2'
'-y+1/2,x+1/2,-z+1/2'
loop_
_atom_site_label
_atom_site_type_symbol
_atom_site_fract_x
_atom_site_fract_y
_atom_site_fract_z
Mn1 Mn 0.0000 0.0000 0.0000
Al1 Al 0.0000 0.5000 0.2500
Br1 Br 0.2080 0.2554 0.1261
```

Top 8 peaks for 2θ = 10–90°, by intensity:
2θ (°)  intensity
25.44  100
43.06  33
16.07  31
48.24  25
40.27  18
28.18  18
53.04  13
39.91  10

***

(2)
Calculated powder diffractogram
Compound: MnAl2Br
Radiation: CuKα
Structure: a PBE-relaxed structure

Crystal structure
```
data_MnAl2Br
_chemical_formula_sum 'Mn2 Al4 Br2'
_cell_length_a 3.0734
_cell_length_b 4.5884
_cell_length_c 11.1856
_cell_angle_alpha 90.00
_cell_angle_beta 90.00
_cell_angle_gamma 90.00
_symmetry_space_group_name_H-M 'I m m m'
_symmetry_Int_Tables_number 71
_symmetry_space_group_name_Hall '-I 2 2'
loop_
_atom_site_label
_atom_site_type_symbol
_atom_site_fract_x
_atom_site_fract_y
_atom_site_fract_z
Mn1 Mn 0.0000 0.0000 0.0000
Al1 Al 0.0000 0.5000 0.2897
Br1 Br 0.0000 0.0000 0.5000
```

Top 8 peaks for 2θ = 10–90°, by intensity:
2θ (°)  intensity
38.77  100
15.85  56
32.01  35
39.27  26
48.26  18
51.53  17
70.85  16
61.60  14

***

(3)
Calculated powder diffractogram
Compound: RbMnAl2Br8
Radiation: CuKα
Structure: a PBE-relaxed structure

Crystal structure
```
data_RbMnAl2Br8
_chemical_formula_sum 'Rb3 Mn3 Al6 Br24'
_cell_length_a 6.8118
_cell_length_b 6.8118
_cell_length_c 30.1397
_cell_angle_alpha 90.00
_cell_angle_beta 90.00
_cell_angle_gamma 120.00
_symmetry_space_group_name_H-M 'R -3'
_symmetry_Int_Tables_number 148
_symmetry_space_group_name_Hall '-R 3'
loop_
_atom_site_label
_atom_site_type_symbol
_atom_site_fract_x
_atom_site_fract_y
_atom_site_fract_z
Rb1 Rb 0.0000 0.0000 0.0000
Mn1 Mn 0.0000 0.0000 0.5000
Al1 Al 0.0000 0.0000 0.2438
Br1 Br 0.0000 0.0000 0.3217
Br2 Br 0.0042 0.6609 0.1130
```

Top 8 peaks for 2θ = 10–90°, by intensity:
2θ (°)  intensity
27.66  100
31.74  81
46.16  37
26.62  36
44.84  36
54.08  29
19.11  16
52.91  14